No. 1
Structure and simulated XRD peak list of Ba4Tl12Cd (the PBE geometry in Alexandria; a wavelength of 1.5418 Å).
Intensities are scaled so that the largest is 100.

Crystal structure
```
17
Lattice="-5.2240 5.2240 5.2240 5.2240 -5.2240 5.2240 5.2240 5.2240 -5.2240" Properties=species:S:1:pos:R:3 pbc="T T T"
Ba 2.6120 2.6120 -2.6120
Ba 2.6120 -2.6120 2.6120
Ba -2.6120 2.6120 2.6120
Ba 2.6120 2.6120 2.6120
Tl 3.1448 0.0000 0.0000
Tl 7.3033 0.0000 0.0000
Tl 5.2240 2.6120 0.0000
Tl 5.2240 0.0000 2.6120
Tl 0.0000 3.1448 0.0000
Tl 0.0000 0.0000 3.1448
Tl 2.6120 5.2240 0.0000
Tl 2.6120 0.0000 5.2240
Tl 0.0000 7.3033 0.0000
Tl 0.0000 0.0000 7.3033
Tl 0.0000 5.2240 2.6120
Tl 0.0000 2.6120 5.2240
Cd 0.0000 0.0000 0.0000
```

The 8 most intense peaks (10 to 90 degrees two-theta), sorted by position:
| 2θ/deg | I (rel.) |
| --- | --- |
| 29.62 | 100.0 |
| 32.05 | 11.6 |
| 34.33 | 58.6 |
| 36.49 | 12.5 |
| 40.50 | 14.2 |
| 49.34 | 34.1 |
| 58.61 | 30.3 |
| 65.67 | 11.4 |

No. 2
Structure and simulated XRD peak list of Dy5Au3 (the PBE geometry in Alexandria; a wavelength of 1.5418 Å).
Intensities are scaled so that the largest is 100.

Crystal structure
```
16
Lattice="-3.7021 3.7021 7.5960 3.7021 -3.7021 7.5960 3.7021 3.7021 -7.5960" Properties=species:S:1:pos:R:3 pbc="T T T"
Dy 0.0000 0.0000 0.0000
Dy 4.9392 1.2372 -2.2942
Dy 1.2372 2.4649 -2.2942
Dy 4.9392 1.2372 2.2942
Dy 1.2372 2.4649 2.2942
Dy 0.0000 0.0000 7.5960
Dy 2.4649 1.2372 5.3018
Dy -1.2372 2.4649 5.3018
Dy 2.4649 1.2372 9.8902
Dy -1.2372 2.4649 9.8902
Au 2.6965 1.0056 0.0000
Au 0.0000 0.0000 3.7980
Au 2.6965 -1.0056 7.5960
Au 1.0056 4.7077 0.0000
Au 0.0000 0.0000 11.3940
Au 1.0056 2.6965 7.5960
```

The 8 most intense peaks (10 to 90 degrees two-theta), sorted by position:
| 2θ/deg | I (rel.) |
| --- | --- |
| 29.05 | 11.3 |
| 32.30 | 100.0 |
| 33.81 | 24.5 |
| 35.45 | 13.6 |
| 38.45 | 44.1 |
| 54.20 | 13.1 |
| 63.03 | 11.5 |
| 71.04 | 12.2 |

No. 3
Structure and simulated XRD peak list of Ce8Ir2Au3 (the PBE geometry in Alexandria; a wavelength of 1.5418 Å).
Intensities are scaled so that the largest is 100.

Crystal structure
```
13
Lattice="6.9388 -4.5035 0.0000 6.9388 4.5035 0.0000 -0.9405 0.0000 5.2886" Properties=species:S:1:pos:R:3 pbc="T T T"
Ce 4.2653 2.5910 4.9923
Ce 1.7466 0.0000 2.3658
Ce 8.6719 2.5910 0.2963
Ce 4.5323 0.0000 2.4319
Ce 8.4048 0.0000 2.8566
Ce 4.2653 -2.5910 4.9923
Ce 11.1906 0.0000 2.9228
Ce 8.6719 -2.5910 0.2963
Ir 2.8493 0.0000 4.9983
Ir 10.0879 0.0000 0.2902
Au 6.4686 2.3723 2.6443
Au 6.9388 0.0000 0.0000
Au 6.4686 -2.3723 2.6443
```

The 8 most intense peaks (10 to 90 degrees two-theta), sorted by position:
| 2θ/deg | I (rel.) |
| --- | --- |
| 23.66 | 40.0 |
| 30.48 | 29.3 |
| 33.90 | 51.5 |
| 34.90 | 100.0 |
| 35.66 | 24.3 |
| 39.29 | 77.3 |
| 40.04 | 35.0 |
| 53.45 | 23.0 |

No. 4
Structure and simulated XRD peak list of TeWS2 (the PBE geometry in Alexandria; a wavelength of 1.5418 Å).
Intensities are scaled so that the largest is 100.

Crystal structure
```
12
Lattice="3.1992 0.0000 0.0000 -1.5996 2.7706 0.0000 0.0000 0.0000 33.8185" Properties=species:S:1:pos:R:3 pbc="T T T"
Te 0.0000 0.0000 0.0000
Te 0.0000 1.8471 22.5457
Te 1.5996 0.9235 11.2728
W 0.0000 0.0000 16.9092
W 0.0000 1.8471 5.6364
W 1.5996 0.9235 28.1820
S 0.0000 0.0000 4.0513
S 0.0000 0.0000 29.7671
S 0.0000 1.8471 18.4943
S 0.0000 1.8471 26.5969
S 1.5996 0.9235 7.2215
S 1.5996 0.9235 15.3241
```

The 8 most intense peaks (10 to 90 degrees two-theta), sorted by position:
| 2θ/deg | I (rel.) |
| --- | --- |
| 15.72 | 100.0 |
| 32.75 | 57.3 |
| 34.05 | 30.9 |
| 38.86 | 50.8 |
| 42.16 | 31.7 |
| 54.61 | 18.0 |
| 57.63 | 16.0 |
| 60.13 | 18.1 |

No. 5
Structure and simulated XRD peak list of ThSc2Ga6 (the PBE geometry in Alexandria; a wavelength of 1.5418 Å).
Intensities are scaled so that the largest is 100.

Crystal structure
```
9
Lattice="7.5293 0.0000 0.0000 -3.7646 6.5206 0.0000 0.0000 0.0000 3.6347" Properties=species:S:1:pos:R:3 pbc="T T T"
Th 0.0000 0.0000 0.0000
Sc 0.0000 4.3470 0.0000
Sc 3.7646 2.1735 0.0000
Ga -1.2762 2.2104 1.8173
Ga -2.4885 4.3102 1.8173
Ga 2.5523 0.0000 1.8173
Ga 1.2762 2.2104 1.8173
Ga 4.9770 0.0000 1.8173
Ga 2.4885 4.3102 1.8173
```

The 8 most intense peaks (10 to 90 degrees two-theta), sorted by position:
| 2θ/deg | I (rel.) |
| --- | --- |
| 13.58 | 42.4 |
| 27.36 | 11.9 |
| 28.11 | 20.2 |
| 34.29 | 100.0 |
| 41.55 | 58.3 |
| 54.93 | 25.4 |
| 67.14 | 27.2 |
| 71.16 | 22.9 |

No. 6
Structure and simulated XRD peak list of La3TbTm2Bi6 (the PBE geometry in Alexandria; a wavelength of 1.5418 Å).
Intensities are scaled so that the largest is 100.

Crystal structure
```
12
Lattice="3.9751 -6.8847 0.0000 3.9751 6.8847 0.0000 -2.6474 0.0000 7.4466" Properties=species:S:1:pos:R:3 pbc="T T T"
La 0.0000 0.0000 0.0000
La 3.9751 2.2814 0.0000
La 3.9751 -2.2814 0.0000
Tb 2.6514 0.0000 3.7233
Tm 2.6514 4.5849 3.7233
Tm 2.6514 -4.5849 3.7233
Bi 1.3159 2.3112 1.9678
Bi -0.0180 0.0000 5.4698
Bi 1.3159 -2.3112 1.9678
Bi 3.9869 2.3112 5.4788
Bi 5.3208 0.0000 1.9768
Bi 3.9869 -2.3112 5.4788
```

The 8 most intense peaks (10 to 90 degrees two-theta), sorted by position:
| 2θ/deg | I (rel.) |
| --- | --- |
| 27.54 | 100.0 |
| 39.26 | 39.9 |
| 39.44 | 38.1 |
| 48.62 | 21.6 |
| 56.86 | 13.3 |
| 64.20 | 19.0 |
| 64.45 | 17.5 |
| 71.28 | 13.7 |